No. 1
# Na3Tb2CeS6
Simulated PXRD pattern, Cu Kα X-rays. Input: the GGA-PBE geometry in Alexandria.
Peak positions follow from Bragg's law for the DFT cell and can differ from measured ones.

Atomic structure:
Unit cell a=7.0188 b=12.1588 c=7.0715 alpha=90.00 beta=109.32 gamma=90.00
Space group C2/m (No. 12)
Unique sites:
Na: 0.0000 0.0000 0.0000 (multiplicity 2)
Na: 0.0000 0.3331 0.0000 (multiplicity 4)
Tb: 0.0000 0.1667 0.5000 (multiplicity 4)
Ce: 0.0000 0.5000 0.5000 (multiplicity 2)
S: 0.2364 0.0000 0.7297 (multiplicity 4)
S: 0.2464 0.3299 0.7289 (multiplicity 8)

Largest 8 diffraction maxima, sorted by position, 10° ≤ 2θ ≤ 90°:
2θ = 13.27°, intensity 79, hkl 0 0 1; 2θ = 25.77°, intensity 42, hkl 1 3 0; 2θ = 26.92°, intensity 28, hkl 2 0 0; 2θ = 31.12°, intensity 100, hkl 1 3 1; 2θ = 44.46°, intensity 35, hkl 2 0 2; 2θ = 44.72°, intensity 36, hkl 0 6 0; 2θ = 46.86°, intensity 20, hkl 3 3 0; 2θ = 55.49°, intensity 18, hkl 4 0 0

---

No. 2
# NaCe3Tl4S8
Simulated PXRD pattern, Cu Kα X-rays. Input: the GGA-PBE geometry in Alexandria.
Peak positions follow from Bragg's law for the DFT cell and can differ from measured ones.

Atomic structure:
Unit cell a=14.3474 b=8.2878 c=7.4987 alpha=90.00 beta=90.04 gamma=90.00
Space group C2/m (No. 12)
Unique sites:
Na: 0.0000 0.0000 0.0000 (multiplicity 2)
Ce: 0.0000 0.5000 0.0000 (multiplicity 2)
Ce: 0.2500 0.2500 0.0000 (multiplicity 4)
Tl: 0.0000 0.0000 0.5000 (multiplicity 2)
Tl: 0.0000 0.5000 0.5000 (multiplicity 2)
Tl: 0.2500 0.2500 0.5000 (multiplicity 4)
S: 0.0874 0.2623 0.8009 (multiplicity 8)
S: 0.1668 0.5000 0.1985 (multiplicity 4)
S: 0.1750 0.0000 0.1990 (multiplicity 4)

Largest 8 diffraction maxima, sorted by position, 10° ≤ 2θ ≤ 90°:
2θ = 23.73°, intensity 24, hkl 0 0 2; 2θ = 24.82°, intensity 78, hkl 4 0 0; 2θ = 34.60°, intensity 100, hkl 4 0 2; 2θ = 43.70°, intensity 32, hkl 6 2 0; 2θ = 50.33°, intensity 21, hkl 0 4 2; 2θ = 55.29°, intensity 22, hkl 2 2 4; 2θ = 56.90°, intensity 24, hkl 4 4 2; 2θ = 74.39°, intensity 22, hkl 10 2 2

---

No. 3
# Na3CeTm3S8
Simulated PXRD pattern, Cu Kα X-rays. Input: the GGA-PBE geometry in Alexandria.
Peak positions follow from Bragg's law for the DFT cell and can differ from measured ones.

Atomic structure:
Unit cell a=7.9136 b=7.9136 c=20.0766 alpha=90.00 beta=90.00 gamma=120.00
Space group R-3m (No. 166, hexagonal axes)
Unique sites:
Na: 0.0000 0.5000 0.0000 (multiplicity 9)
Ce: 0.0000 0.0000 0.5000 (multiplicity 3)
Tm: 0.0000 0.5000 0.5000 (multiplicity 9)
S: 0.0000 0.0000 0.2412 (multiplicity 6)
S: 0.0020 0.5010 0.7600 (multiplicity 18)

Largest 8 diffraction maxima, sorted by position, 10° ≤ 2θ ≤ 90°:
2θ = 13.23°, intensity 100, hkl 0 0 3; 2θ = 26.39°, intensity 48, hkl 0 2 1; 2θ = 27.50°, intensity 28, hkl 2 0 2; 2θ = 31.61°, intensity 95, hkl 0 2 4; 2θ = 41.04°, intensity 22, hkl 0 2 7; 2θ = 44.76°, intensity 33, hkl 2 0 8; 2θ = 45.87°, intensity 33, hkl 2 2 0; 2θ = 47.95°, intensity 24, hkl 2 2 3

---

No. 4
# Na2CeTmS4
Simulated PXRD pattern, Cu Kα X-rays. Input: the GGA-PBE geometry in Alexandria.
Peak positions follow from Bragg's law for the DFT cell and can differ from measured ones.

Atomic structure:
Unit cell a=6.9983 b=4.0363 c=7.0620 alpha=90.00 beta=109.22 gamma=90.00
Space group P2/m (No. 10)
Unique sites:
Na: 0.0000 0.0000 0.0000 (multiplicity 1)
Na: 0.5000 0.5000 0.0000 (multiplicity 1)
Ce: 0.0000 0.5000 0.5000 (multiplicity 1)
Tm: 0.5000 0.0000 0.5000 (multiplicity 1)
S: 0.2543 0.0000 0.7304 (multiplicity 2)
S: 0.2678 0.5000 0.2742 (multiplicity 2)

Largest 8 diffraction maxima, sorted by position, 10° ≤ 2θ ≤ 90°:
2θ = 13.28°, intensity 81, hkl 0 0 1; 2θ = 25.86°, intensity 43, hkl 1 1 0; 2θ = 27.01°, intensity 29, hkl 2 0 0; 2θ = 31.21°, intensity 100, hkl 1 1 1; 2θ = 44.54°, intensity 35, hkl 1 1 -3; 2θ = 44.89°, intensity 35, hkl 0 2 0; 2θ = 47.02°, intensity 21, hkl 3 1 -2; 2θ = 55.68°, intensity 18, hkl 2 2 -2

---

No. 5
# NaCeY4S8
Simulated PXRD pattern, Cu Kα X-rays. Input: the GGA-PBE geometry in Alexandria.
Peak positions follow from Bragg's law for the DFT cell and can differ from measured ones.

Atomic structure:
Unit cell a=8.1102 b=8.1102 c=20.2543 alpha=90.00 beta=90.00 gamma=120.00
Space group R3m (No. 160, hexagonal axes)
Unique sites:
Na: 0.0000 0.0000 0.0000 (multiplicity 3)
Ce: 0.0000 0.0000 0.6297 (multiplicity 3)
Y: 0.0000 0.0000 0.2526 (multiplicity 3)
Y: 0.1725 0.3450 0.4584 (multiplicity 9)
S: 0.0000 0.0000 0.3846 (multiplicity 3)
S: 0.0000 0.0000 0.8650 (multiplicity 3)
S: 0.0268 0.5134 0.3825 (multiplicity 9)
S: 0.1747 0.3493 0.2046 (multiplicity 9)

Largest 8 diffraction maxima, sorted by position, 10° ≤ 2θ ≤ 90°:
2θ = 13.34°, intensity 72, hkl 1 0 1; 2θ = 25.38°, intensity 49, hkl 0 1 5; 2θ = 25.63°, intensity 100, hkl 1 1 3; 2θ = 30.99°, intensity 99, hkl 0 2 4; 2θ = 40.63°, intensity 39, hkl 1 2 5; 2θ = 40.79°, intensity 30, hkl 0 3 3; 2θ = 44.10°, intensity 68, hkl 2 0 8; 2θ = 44.69°, intensity 67, hkl 2 2 0

---

No. 6
# Na4Ce3YS8
Simulated PXRD pattern, Cu Kα X-rays. Input: the GGA-PBE geometry in Alexandria.
Peak positions follow from Bragg's law for the DFT cell and can differ from measured ones.

Atomic structure:
Unit cell a=8.2049 b=8.2049 c=19.9949 alpha=90.00 beta=90.00 gamma=120.00
Space group R-3m (No. 166, hexagonal axes)
Unique sites:
Na: 0.0000 0.0000 0.0000 (multiplicity 3)
Na: 0.0000 0.5000 0.0000 (multiplicity 9)
Ce: 0.0000 0.5000 0.5000 (multiplicity 9)
Y: 0.0000 0.0000 0.5000 (multiplicity 3)
S: 0.0000 0.0000 0.2445 (multiplicity 6)
S: 0.0067 0.5033 0.2435 (multiplicity 18)

Largest 8 diffraction maxima, sorted by position, 10° ≤ 2θ ≤ 90°:
2θ = 13.28°, intensity 66, hkl 0 0 3; 2θ = 25.47°, intensity 36, hkl 0 2 1; 2θ = 26.63°, intensity 21, hkl 2 0 2; 2θ = 30.88°, intensity 100, hkl 0 2 4; 2θ = 44.15°, intensity 36, hkl 2 2 0; 2θ = 44.31°, intensity 34, hkl 2 0 8; 2θ = 46.31°, intensity 17, hkl 2 2 3; 2θ = 54.85°, intensity 18, hkl 4 0 4

---

No. 7
# Na2CeZnS4
Simulated PXRD pattern, Cu Kα X-rays. Input: the GGA-PBE geometry in Alexandria.
Peak positions follow from Bragg's law for the DFT cell and can differ from measured ones.

Atomic structure:
Unit cell a=11.0931 b=11.3104 c=7.5825 alpha=90.00 beta=133.07 gamma=90.00
Space group C2/c (No. 15)
Unique sites:
Na: 0.0000 0.0000 0.0000 (multiplicity 4)
Na: 0.2500 0.2500 0.0000 (multiplicity 4)
Ce: 0.2500 0.2500 0.5000 (multiplicity 4)
Zn: 0.0000 0.5000 0.0000 (multiplicity 4)
S: 0.0002 0.2461 0.0110 (multiplicity 8)
S: 0.2100 0.4918 0.4608 (multiplicity 8)

Largest 8 diffraction maxima, sorted by position, 10° ≤ 2θ ≤ 90°:
2θ = 13.44°, intensity 22, hkl 1 1 0; 2θ = 14.06°, intensity 75, hkl 1 1 -1; 2θ = 26.14°, intensity 35, hkl 3 1 -1; 2θ = 27.08°, intensity 20, hkl 2 2 0; 2θ = 31.64°, intensity 55, hkl 0 4 0; 2θ = 32.34°, intensity 100, hkl 0 0 2; 2θ = 44.73°, intensity 17, hkl 4 0 0; 2θ = 45.87°, intensity 71, hkl 0 4 2

---

No. 8
# NaCeSb2
Simulated PXRD pattern, Cu Kα X-rays. Input: the GGA-PBE geometry in Alexandria.
Peak positions follow from Bragg's law for the DFT cell and can differ from measured ones.

Atomic structure:
Unit cell a=6.2082 b=11.0162 c=6.4569 alpha=90.00 beta=90.00 gamma=90.00
Space group Cmme (No. 67)
Unique sites:
Na: 0.2500 0.0000 0.0000 (multiplicity 4)
Ce: 0.0000 0.2500 0.3132 (multiplicity 4)
Sb: 0.0000 0.2500 0.8223 (multiplicity 4)
Sb: 0.2500 0.0000 0.5000 (multiplicity 4)

Largest 8 diffraction maxima, sorted by position, 10° ≤ 2θ ≤ 90°:
2θ = 13.71°, intensity 24, hkl 0 0 1; 2θ = 32.14°, intensity 66, hkl 0 2 2; 2θ = 32.29°, intensity 49, hkl 1 1 2; 2θ = 32.51°, intensity 53, hkl 0 4 0; 2θ = 33.13°, intensity 100, hkl 2 2 0; 2θ = 39.92°, intensity 28, hkl 1 3 2; 2θ = 40.31°, intensity 36, hkl 2 0 2; 2θ = 52.71°, intensity 32, hkl 2 4 2

---

No. 9
# NaCeSc4Se8
Simulated PXRD pattern, Cu Kα X-rays. Input: the GGA-PBE geometry in Alexandria.
Peak positions follow from Bragg's law for the DFT cell and can differ from measured ones.

Atomic structure:
Unit cell a=8.0527 b=8.0527 c=20.6349 alpha=90.00 beta=90.00 gamma=120.00
Space group R3m (No. 160, hexagonal axes)
Unique sites:
Na: 0.0000 0.0000 0.0000 (multiplicity 3)
Ce: 0.0000 0.0000 0.6344 (multiplicity 3)
Sc: 0.0000 0.0000 0.2598 (multiplicity 3)
Sc: 0.1739 0.3477 0.4630 (multiplicity 9)
Se: 0.0000 0.0000 0.3899 (multiplicity 3)
Se: 0.0000 0.0000 0.8678 (multiplicity 3)
Se: 0.0197 0.5099 0.3923 (multiplicity 9)
Se: 0.1697 0.3394 0.2072 (multiplicity 9)

Largest 8 diffraction maxima, sorted by position, 10° ≤ 2θ ≤ 90°:
2θ = 13.40°, intensity 30, hkl 1 0 1; 2θ = 25.64°, intensity 26, hkl 1 1 3; 2θ = 26.99°, intensity 28, hkl 2 0 2; 2θ = 30.95°, intensity 100, hkl 0 2 4; 2θ = 43.65°, intensity 45, hkl 2 0 8; 2θ = 45.03°, intensity 48, hkl 2 2 0; 2θ = 55.65°, intensity 20, hkl 4 0 4; 2θ = 64.51°, intensity 17, hkl 0 4 8

---

No. 10
# NaCe8Se12
Simulated PXRD pattern, Cu Kα X-rays. Input: the GGA-PBE geometry in Alexandria.
Peak positions follow from Bragg's law for the DFT cell and can differ from measured ones.

Atomic structure:
Unit cell a=8.9085 b=8.9085 c=26.8319 alpha=90.00 beta=90.00 gamma=90.00
Space group I-42d (No. 122)
Unique sites:
Na: 0.0000 0.0000 0.0000 (multiplicity 4)
Ce: 0.0000 0.0000 0.3339 (multiplicity 8)
Ce: 0.1214 0.7500 0.1250 (multiplicity 8)
Ce: 0.1296 0.7475 0.4596 (multiplicity 16)
Se: 0.0749 0.6744 0.6830 (multiplicity 16)
Se: 0.0748 0.6788 0.3527 (multiplicity 16)
Se: 0.0769 0.6733 0.0160 (multiplicity 16)

Largest 8 diffraction maxima, sorted by position, 10° ≤ 2θ ≤ 90°:
2θ = 24.44°, intensity 30, hkl 1 1 6; 2θ = 31.65°, intensity 46, hkl 1 0 9; 2θ = 31.76°, intensity 100, hkl 3 1 0; 2θ = 37.73°, intensity 98, hkl 2 1 9; 2θ = 45.52°, intensity 22, hkl 4 0 6; 2θ = 47.83°, intensity 21, hkl 3 2 9; 2θ = 52.33°, intensity 16, hkl 4 3 3; 2θ = 64.45°, intensity 28, hkl 6 1 3

---

No. 11
# Na3Ce2Se4
Simulated PXRD pattern, Cu Kα X-rays. Input: the GGA-PBE geometry in Alexandria.
Peak positions follow from Bragg's law for the DFT cell and can differ from measured ones.

Atomic structure:
Unit cell a=7.4010 b=4.2729 c=17.1886 alpha=90.00 beta=90.06 gamma=90.00
Space group C2/m (No. 12)
Unique sites:
Na: 0.0000 0.0000 0.0000 (multiplicity 2)
Na: 0.1656 0.5000 0.5988 (multiplicity 4)
Ce: 0.1672 0.5000 0.2030 (multiplicity 4)
Se: 0.0008 0.0000 0.3021 (multiplicity 4)
Se: 0.1663 0.5000 0.8928 (multiplicity 4)

Largest 8 diffraction maxima, sorted by position, 10° ≤ 2θ ≤ 90°:
2θ = 10.29°, intensity 75, hkl 0 0 2; 2θ = 24.61°, intensity 21, hkl 2 0 1; 2θ = 28.72°, intensity 100, hkl 2 0 3; 2θ = 31.92°, intensity 31, hkl 1 1 -4; 2θ = 39.79°, intensity 26, hkl 1 1 6; 2θ = 42.30°, intensity 42, hkl 3 1 0; 2θ = 44.27°, intensity 25, hkl 2 0 -7; 2θ = 51.93°, intensity 19, hkl 2 2 3

---

No. 12
# NaCe4Se7
Simulated PXRD pattern, Cu Kα X-rays. Input: the GGA-PBE geometry in Alexandria.
Peak positions follow from Bragg's law for the DFT cell and can differ from measured ones.

Atomic structure:
Unit cell a=13.7465 b=4.1239 c=12.3021 alpha=90.00 beta=105.16 gamma=90.00
Space group Cm (No. 8)
Unique sites:
Na: 0.0000 0.0000 0.0000 (multiplicity 2)
Ce: 0.1179 0.0000 0.4216 (multiplicity 2)
Ce: 0.2362 0.0000 0.8597 (multiplicity 2)
Ce: 0.3092 0.5000 0.2209 (multiplicity 2)
Ce: 0.4225 0.0000 0.6224 (multiplicity 2)
Se: 0.0787 0.0000 0.6415 (multiplicity 2)
Se: 0.1231 0.5000 0.9239 (multiplicity 2)
Se: 0.1575 0.0000 0.2090 (multiplicity 2)
Se: 0.2773 0.5000 0.4737 (multiplicity 2)
Se: 0.3519 0.5000 0.7711 (multiplicity 2)
Se: 0.3749 0.0000 0.0798 (multiplicity 2)
Se: 0.4586 0.0000 0.3762 (multiplicity 2)

Largest 8 diffraction maxima, sorted by position, 10° ≤ 2θ ≤ 90°:
2θ = 22.55°, intensity 56, hkl 2 0 2; 2θ = 29.19°, intensity 89, hkl 2 0 3; 2θ = 29.60°, intensity 100, hkl 2 0 -4; 2θ = 30.76°, intensity 73, hkl 3 1 -2; 2θ = 31.89°, intensity 72, hkl 3 1 1; 2θ = 39.40°, intensity 51, hkl 1 1 4; 2θ = 43.91°, intensity 52, hkl 0 2 0; 2θ = 44.19°, intensity 51, hkl 6 0 -4